Record 1
Starting from a PBE-relaxed structure, the XRD peak list of BaAc3Nd was computed for Cu Kα.
Lines closer than 0.1° are merged.

Crystal structure
```
data_BaAc3Nd
_chemical_formula_sum 'Ba2 Ac6 Nd2'
_space_group_name_H-M_alt 'P 1 21/m 1'
_space_group_IT_number 11
_cell_length_a 8.8770
_cell_length_b 5.6739
_cell_length_c 8.9252
_cell_angle_alpha 90.00
_cell_angle_beta 90.25
_cell_angle_gamma 90.00
loop_
_space_group_symop_operation_xyz
'x,y,z'
'-x,-y,-z'
'-x,y+1/2,-z'
'x,-y+1/2,z'
loop_
_atom_site_label
_atom_site_fract_x
_atom_site_fract_y
_atom_site_fract_z
Ba1 0.2470 0.2500 0.2574
Ac1 0.1489 0.7500 0.9462
Ac2 0.3375 0.7500 0.5565
Ac3 0.4392 0.2500 0.8472
Nd1 0.0543 0.2500 0.6516
```

Top 6 peaks for 15° ≤ 2θ ≤ 90°, in order of rising 2θ:
2θ/deg, I (rel.)
27.31, 100
27.43, 97
31.54, 34
31.76, 34
31.82, 33
45.41, 37

=====

Record 2
Starting from a PBE-relaxed structure, the XRD peak list of ThAl8Co2 was computed for Cu Kα.
Lines closer than 0.1° are merged.

Crystal structure
```
data_ThAl8Co2
_chemical_formula_sum 'Th1 Al8 Co2'
_space_group_name_H-M_alt 'P 4/m m m'
_space_group_IT_number 123
_space_group_name_Hall '-P 4 2'
_cell_length_a 5.6122
_cell_length_b 5.6122
_cell_length_c 7.7229
_cell_angle_alpha 90.00
_cell_angle_beta 90.00
_cell_angle_gamma 90.00
loop_
_atom_site_label
_atom_site_fract_x
_atom_site_fract_y
_atom_site_fract_z
Th1 0.0000 0.0000 0.0000
Al1 0.2515 0.2515 0.3227
Co1 0.0000 0.5000 0.5000
```

Top 6 peaks for 15° ≤ 2θ ≤ 90°, in order of rising 2θ:
2θ/deg, I (rel.)
15.79, 59
19.55, 75
25.23, 100
28.05, 32
37.69, 29
39.71, 58

=====

Record 3
Starting from a PBE-relaxed structure, the XRD peak list of La5Sm3P8 was computed for Cu Kα.
Lines closer than 0.1° are merged.

Crystal structure
```
data_La5Sm3P8
_chemical_formula_sum 'La15 Sm9 P24'
_space_group_name_H-M_alt 'R -3 m'
_space_group_IT_number 166
_space_group_name_Hall '-R 3 2"'
_cell_length_a 8.4274
_cell_length_b 8.4274
_cell_length_c 20.6507
_cell_angle_alpha 90.00
_cell_angle_beta 90.00
_cell_angle_gamma 120.00
loop_
_atom_site_label
_atom_site_fract_x
_atom_site_fract_y
_atom_site_fract_z
La1 0.0000 0.0000 0.0000
La2 0.0000 0.0000 0.5000
La3 0.0000 0.5000 0.0000
Sm1 0.0000 0.5000 0.5000
P1 0.0000 0.0000 0.2475
P2 0.0035 0.5018 0.7518
```

Top 6 peaks for 15° ≤ 2θ ≤ 90°, in order of rising 2θ:
2θ/deg, I (rel.)
25.89, 78
29.99, 100
42.92, 74
50.81, 39
53.24, 26
70.69, 33

=====

Record 4
Starting from a PBE-relaxed structure, the XRD peak list of Si23Pt3 was computed for Cu Kα.
Lines closer than 0.1° are merged.

Crystal structure
```
data_Si23Pt3
_chemical_formula_sum 'Si46 Pt6'
_space_group_name_H-M_alt 'P m -3 n'
_space_group_IT_number 223
_space_group_name_Hall '-P 4n 2 3'
_cell_length_a 10.0690
_cell_length_b 10.0690
_cell_length_c 10.0690
_cell_angle_alpha 90.00
_cell_angle_beta 90.00
_cell_angle_gamma 90.00
loop_
_atom_site_label
_atom_site_fract_x
_atom_site_fract_y
_atom_site_fract_z
Si1 0.0000 0.1151 0.3134
Si2 0.0000 0.2500 0.5000
Si3 0.1836 0.1836 0.1836
Pt1 0.0000 0.5000 0.2500
```

Top 6 peaks for 15° ≤ 2θ ≤ 90°, in order of rising 2θ:
2θ/deg, I (rel.)
19.72, 100
30.76, 89
32.05, 93
33.29, 81
48.70, 39
53.03, 41